# 1
Simulated X-ray powder pattern
Compound: FeAu3
Radiation: Cu Kα
Structure: DFT lattice parameters and positions (GGA-PBE)
Intensities are scaled so that the largest is 100.

Structural model:
Cell: 9.289 9.289 9.289 Å, 18.14 18.14 18.14°
Element x y z (fractional)
Fe 0.000 0.000 0.000
Au 0.256 0.256 0.256
Au 0.500 0.500 0.500
Au 0.744 0.744 0.744

Principal peaks in the range 5° ≤ 2θ ≤ 70°, by angle:
2θ/deg  I_rel
9.7  14
37.8  100
39.5  26
44.4  61
63.5  22
65.8  16



# 2
Simulated X-ray powder pattern
Compound: Fe3Au
Radiation: Cu Kα
Structure: DFT lattice parameters and positions (GGA-PBE)
Intensities are scaled so that the largest is 100.

Structural model:
Cell: 5.408 5.408 4.316 Å, 90.00 90.00 121.04°
Element x y z (fractional)
Fe 0.151 0.302 0.750
Fe 0.167 0.833 0.750
Fe 0.302 0.151 0.250
Fe 0.698 0.849 0.750
Fe 0.833 0.167 0.250
Fe 0.849 0.698 0.250
Au 0.335 0.665 0.250
Au 0.665 0.335 0.750

Principal peaks in the range 5° ≤ 2θ ≤ 70°, by angle:
2θ/deg  I_rel
28.0  28
28.3  54
38.9  26
41.9  42
43.8  56
44.4  100



# 3
Simulated X-ray powder pattern
Compound: Fe2GeAu2
Radiation: Cu Kα
Structure: DFT lattice parameters and positions (GGA-PBE)
Intensities are scaled so that the largest is 100.

Structural model:
Cell: 6.191 6.191 4.094 Å, 90.00 90.00 90.00°
Element x y z (fractional)
Fe 0.133 0.367 0.000
Fe 0.367 0.867 0.000
Fe 0.633 0.133 0.000
Fe 0.867 0.633 0.000
Ge 0.000 0.000 0.000
Ge 0.500 0.500 0.000
Au 0.163 0.663 0.500
Au 0.337 0.163 0.500
Au 0.663 0.837 0.500
Au 0.837 0.337 0.500

Principal peaks in the range 5° ≤ 2θ ≤ 70°, by angle:
2θ/deg  I_rel
32.3  25
36.4  25
39.3  100
44.2  21
46.4  24
66.0  17



# 4
Simulated X-ray powder pattern
Compound: Hf12Fe6Au
Radiation: Cu Kα
Structure: DFT lattice parameters and positions (GGA-PBE)
Intensities are scaled so that the largest is 100.

Structural model:
Cell: 7.683 7.683 7.683 Å, 109.47 109.47 109.47°
Element x y z (fractional)
Hf 0.099 0.292 0.807
Hf 0.193 0.485 0.292
Hf 0.193 0.901 0.708
Hf 0.292 0.193 0.485
Hf 0.292 0.807 0.099
Hf 0.485 0.292 0.193
Hf 0.515 0.708 0.807
Hf 0.708 0.193 0.901
Hf 0.708 0.807 0.515
Hf 0.807 0.099 0.292
Hf 0.807 0.515 0.708
Hf 0.901 0.708 0.193
Fe 0.123 0.500 0.623
Fe 0.377 0.877 0.500
Fe 0.500 0.377 0.877
Fe 0.500 0.623 0.123
Fe 0.623 0.123 0.500
Fe 0.877 0.500 0.377
Au 0.000 0.000 0.000

Principal peaks in the range 5° ≤ 2θ ≤ 70°, by angle:
2θ/deg  I_rel
31.9  40
35.0  64
37.9  100
40.7  27
60.9  34
64.8  39



# 5
Simulated X-ray powder pattern
Compound: FeHgPt2Au
Radiation: Cu Kα
Structure: DFT lattice parameters and positions (GGA-PBE)
Intensities are scaled so that the largest is 100.

Structural model:
Cell: 5.043 5.043 5.047 Å, 90.00 90.00 90.00°
Element x y z (fractional)
Fe 0.000 0.000 0.000
Hg 0.500 0.500 0.500
Pt 0.000 0.500 0.500
Pt 0.500 0.000 0.500
Au 0.500 0.500 0.000

Principal peaks in the range 5° ≤ 2θ ≤ 70°, by angle:
2θ/deg  I_rel
17.6  87
30.7  54
35.6  100
40.0  47
51.2  72
63.9  25



# 6
Simulated X-ray powder pattern
Compound: FeIrAu
Radiation: Cu Kα
Structure: DFT lattice parameters and positions (GGA-PBE)
Intensities are scaled so that the largest is 100.

Structural model:
Cell: 4.821 2.797 6.718 Å, 90.00 90.00 90.00°
Element x y z (fractional)
Fe 0.000 0.000 0.000
Fe 0.170 0.500 0.316
Ir 0.326 0.000 0.665
Ir 0.463 0.500 0.988
Au 0.666 0.000 0.313
Au 0.834 0.500 0.665

Principal peaks in the range 5° ≤ 2θ ≤ 70°, by angle:
2θ/deg  I_rel
39.6  100
39.7  47
40.3  45
46.2  63
46.4  29
68.0  30